# CsCu
Calculated PXRD pattern, λ = 1.5418 Å (Cu Kα). Input: a GGA-PBE-relaxed structure.
Neutral-atom scattering factors, no anomalous dispersion.

Cell and atoms:
```
data_CsCu
_cell_length_a 12.8205
_cell_length_b 4.2722
_cell_length_c 9.5756
_cell_angle_alpha 90.00
_cell_angle_beta 90.00
_cell_angle_gamma 90.00
_space_group_name_H-M_alt 'P m n 21'
_space_group_IT_number 31
loop_
_space_group_symop_operation_xyz
'x,y,z'
'-x+1/2,-y,z+1/2'
'-x,y,z'
'x+1/2,-y,z+1/2'
loop_
_atom_site_label
_atom_site_fract_x
_atom_site_fract_y
_atom_site_fract_z
Cs1 0.0000 0.2439 0.0000
Cs2 0.1851 0.7564 0.3864
Cu1 0.0000 0.2422 0.6636
Cu2 0.0936 0.7420 0.7210
```

Peak list (12 most intense, 2θ from 5° to 70°, by angle)
- hkl 1 0 1, 2θ = 11.5°, I = 23
- hkl 3 0 1, 2θ = 22.8°, I = 100
- hkl 2 0 2, 2θ = 23.2°, I = 28
- hkl 1 0 3, 2θ = 28.8°, I = 58
- hkl 3 1 0, 2θ = 29.6°, I = 51
- hkl 0 1 3, 2θ = 35.1°, I = 25
- hkl 5 0 1, 2θ = 36.3°, I = 14
- hkl 2 1 3, 2θ = 37.9°, I = 19
- hkl 0 2 0, 2θ = 42.3°, I = 18
- hkl 5 1 2, 2θ = 45.4°, I = 32
- hkl 6 1 1, 2θ = 48.6°, I = 34
- hkl 5 1 4, 2θ = 56.9°, I = 16


# Cs2DyCu3F12
Calculated PXRD pattern, λ = 1.5418 Å (Cu Kα). Input: a GGA-PBE-relaxed structure.
Neutral-atom scattering factors, no anomalous dispersion.

Cell and atoms:
```
data_Cs2DyCu3F12
_cell_length_a 7.4929
_cell_length_b 7.4929
_cell_length_c 18.6537
_cell_angle_alpha 90.00
_cell_angle_beta 90.00
_cell_angle_gamma 120.00
_space_group_name_H-M_alt 'R -3 m'
_space_group_IT_number 166
_space_group_name_Hall '-R 3 2"'
loop_
_atom_site_label
_atom_site_fract_x
_atom_site_fract_y
_atom_site_fract_z
Cs1 0.0000 0.0000 0.1120
Dy1 0.0000 0.0000 0.5000
Cu1 0.0000 0.5000 0.0000
F1 0.0416 0.5208 0.1071
F2 0.0772 0.5386 0.3421
```

Peak list (12 most intense, 2θ from 5° to 70°, by angle)
- hkl 0 1 2, 2θ = 16.6°, I = 20
- hkl 1 1 0, 2θ = 23.7°, I = 47
- hkl 0 1 5, 2θ = 27.6°, I = 81
- hkl 1 1 3, 2θ = 27.8°, I = 100
- hkl 0 2 1, 2θ = 27.9°, I = 29
- hkl 2 0 2, 2θ = 29.1°, I = 51
- hkl 1 2 5, 2θ = 44.2°, I = 28
- hkl 3 0 3, 2θ = 44.3°, I = 33
- hkl 2 0 8, 2θ = 48.1°, I = 32
- hkl 2 2 0, 2θ = 48.6°, I = 45
- hkl 3 1 5, 2θ = 56.8°, I = 23
- hkl 0 2 10, 2θ = 57.0°, I = 20


# CsDyCuS2
Calculated PXRD pattern, λ = 1.5418 Å (Cu Kα). Input: a GGA-PBE-relaxed structure.
Neutral-atom scattering factors, no anomalous dispersion.

Cell and atoms:
```
data_CsDyCuS2
_cell_length_a 8.0659
_cell_length_b 4.7499
_cell_length_c 7.8656
_cell_angle_alpha 90.00
_cell_angle_beta 100.03
_cell_angle_gamma 90.00
_space_group_name_H-M_alt 'P 1 2/c 1'
_space_group_IT_number 13
loop_
_space_group_symop_operation_xyz
'x,y,z'
'-x,-y,-z'
'-x,y,-z+1/2'
'x,-y,z+1/2'
loop_
_atom_site_label
_atom_site_fract_x
_atom_site_fract_y
_atom_site_fract_z
Cs1 0.0000 0.1771 0.2500
Dy1 0.5000 0.4945 0.7500
Cu1 0.5000 0.0000 0.0000
S1 0.2922 0.3168 0.9642
```

Peak list (12 most intense, 2θ from 5° to 70°, by angle)
- hkl 1 0 0, 2θ = 11.1°, I = 75
- hkl 1 1 0, 2θ = 21.8°, I = 57
- hkl 2 0 0, 2θ = 22.4°, I = 100
- hkl 0 0 2, 2θ = 23.0°, I = 26
- hkl 1 1 1, 2θ = 25.6°, I = 56
- hkl 2 0 -2, 2θ = 29.3°, I = 38
- hkl 1 1 -2, 2θ = 30.4°, I = 75
- hkl 1 1 2, 2θ = 33.3°, I = 70
- hkl 2 0 2, 2θ = 35.1°, I = 29
- hkl 1 2 0, 2θ = 39.6°, I = 65
- hkl 3 1 -2, 2θ = 42.4°, I = 43
- hkl 3 2 0, 2θ = 51.7°, I = 34


# Cs2ErCuF6
Calculated PXRD pattern, λ = 1.5418 Å (Cu Kα). Input: a GGA-PBE-relaxed structure.
Neutral-atom scattering factors, no anomalous dispersion.

Cell and atoms:
```
data_Cs2ErCuF6
_cell_length_a 8.1881
_cell_length_b 9.8554
_cell_length_c 9.9098
_cell_angle_alpha 90.00
_cell_angle_beta 90.00
_cell_angle_gamma 90.00
_space_group_name_H-M_alt 'F m m m'
_space_group_IT_number 69
_space_group_name_Hall '-F 2 2'
loop_
_atom_site_label
_atom_site_fract_x
_atom_site_fract_y
_atom_site_fract_z
Cs1 0.2500 0.2500 0.2500
Er1 0.0000 0.0000 0.0000
Cu1 0.0000 0.0000 0.5000
F1 0.0000 0.0000 0.2167
F2 0.0000 0.2178 0.0000
F3 0.2316 0.0000 0.5000
```

Peak list (12 most intense, 2θ from 5° to 70°, by angle)
- hkl 1 1 1, 2θ = 16.7°, I = 19
- hkl 0 2 2, 2θ = 25.5°, I = 66
- hkl 2 2 0, 2θ = 28.3°, I = 100
- hkl 0 0 4, 2θ = 36.3°, I = 22
- hkl 0 4 0, 2θ = 36.5°, I = 22
- hkl 4 0 0, 2θ = 44.2°, I = 13
- hkl 2 2 4, 2θ = 46.6°, I = 24
- hkl 2 4 2, 2θ = 46.8°, I = 24
- hkl 4 2 2, 2θ = 51.8°, I = 19
- hkl 0 4 4, 2θ = 52.4°, I = 14
- hkl 4 0 4, 2θ = 58.5°, I = 12
- hkl 4 4 0, 2θ = 58.6°, I = 10


# Cs5CuF8
Calculated PXRD pattern, λ = 1.5418 Å (Cu Kα). Input: a GGA-PBE-relaxed structure.
Neutral-atom scattering factors, no anomalous dispersion.

Cell and atoms:
```
data_Cs5CuF8
_cell_length_a 8.6326
_cell_length_b 8.6326
_cell_length_c 9.4655
_cell_angle_alpha 90.00
_cell_angle_beta 90.00
_cell_angle_gamma 90.00
_space_group_name_H-M_alt 'I -4'
_space_group_IT_number 82
loop_
_space_group_symop_operation_xyz
'x,y,z'
'y,-x,-z'
'-x,-y,z'
'-y,x,-z'
'x+1/2,y+1/2,z+1/2'
'y+1/2,-x+1/2,-z+1/2'
'-x+1/2,-y+1/2,z+1/2'
'-y+1/2,x+1/2,-z+1/2'
loop_
_atom_site_label
_atom_site_fract_x
_atom_site_fract_y
_atom_site_fract_z
Cs1 0.0000 0.0000 0.0000
Cs2 0.1314 0.7238 0.3976
Cu1 0.0000 0.5000 0.7500
F1 0.0261 0.7065 0.7400
F2 0.1031 0.6935 0.0923
```

Peak list (12 most intense, 2θ from 5° to 70°, by angle)
- hkl 1 1 2, 2θ = 23.8°, I = 55
- hkl 1 2 1, 2θ = 24.9°, I = 100
- hkl 1 0 3, 2θ = 30.2°, I = 37
- hkl 3 0 1, 2θ = 32.5°, I = 24
- hkl 3 1 0, 2θ = 32.8°, I = 36
- hkl 2 1 3, 2θ = 36.8°, I = 20
- hkl 3 1 2, 2θ = 38.1°, I = 15
- hkl 2 0 4, 2θ = 43.6°, I = 16
- hkl 2 4 0, 2θ = 47.1°, I = 15
- hkl 2 3 3, 2θ = 47.7°, I = 22
- hkl 4 2 2, 2θ = 51.1°, I = 18
- hkl 4 3 1, 2θ = 54.0°, I = 22


# Cs6Cu3F14
Calculated PXRD pattern, λ = 1.5418 Å (Cu Kα). Input: a GGA-PBE-relaxed structure.
Neutral-atom scattering factors, no anomalous dispersion.

Cell and atoms:
```
data_Cs6Cu3F14
_cell_length_a 10.2714
_cell_length_b 10.2714
_cell_length_c 6.0977
_cell_angle_alpha 90.00
_cell_angle_beta 90.00
_cell_angle_gamma 120.00
_space_group_name_H-M_alt 'P 3'
_space_group_IT_number 143
loop_
_space_group_symop_operation_xyz
'x,y,z'
'-y,x-y,z'
'-x+y,-x,z'
loop_
_atom_site_label
_atom_site_fract_x
_atom_site_fract_y
_atom_site_fract_z
Cs1 0.0209 0.5710 0.0000
Cs2 0.2895 0.0658 0.5338
Cu1 0.0000 0.0000 0.9970
Cu2 0.3333 0.6667 0.4530
Cu3 0.6667 0.3333 0.3399
F1 0.0000 0.0000 0.3073
F2 0.0435 0.8612 0.8625
F3 0.2090 0.4806 0.3178
F4 0.3333 0.6667 0.7627
F5 0.4910 0.2140 0.1574
F6 0.5430 0.3865 0.5177
```

Peak list (12 most intense, 2θ from 5° to 70°, by angle)
- hkl 2 -1 1, 2θ = 22.6°, I = 60
- hkl 0 2 1, 2θ = 24.8°, I = 100
- hkl 1 2 0, 2θ = 26.5°, I = 31
- hkl 0 0 2, 2θ = 29.3°, I = 19
- hkl 2 0 2, 2θ = 35.7°, I = 14
- hkl 1 3 0, 2θ = 36.4°, I = 22
- hkl 3 1 1, 2θ = 39.4°, I = 33
- hkl 1 2 2, 2θ = 39.9°, I = 26
- hkl 5 -2 1, 2θ = 47.0°, I = 13
- hkl 4 -3 2, 2θ = 47.4°, I = 16
- hkl 0 2 3, 2θ = 49.3°, I = 26
- hkl 5 -2 3, 2θ = 64.7°, I = 13


# Cs4Cu3F10
Calculated PXRD pattern, λ = 1.5418 Å (Cu Kα). Input: a GGA-PBE-relaxed structure.
Neutral-atom scattering factors, no anomalous dispersion.

Cell and atoms:
```
data_Cs4Cu3F10
_cell_length_a 14.2363
_cell_length_b 6.3009
_cell_length_c 8.0872
_cell_angle_alpha 90.00
_cell_angle_beta 116.90
_cell_angle_gamma 90.00
_space_group_name_H-M_alt 'C 1 2/m 1'
_space_group_IT_number 12
loop_
_space_group_symop_operation_xyz
'x,y,z'
'-x,-y,-z'
'-x,y,-z'
'x,-y,z'
'x+1/2,y+1/2,z'
'-x+1/2,-y+1/2,-z'
'-x+1/2,y+1/2,-z'
'x+1/2,-y+1/2,z'
loop_
_atom_site_label
_atom_site_fract_x
_atom_site_fract_y
_atom_site_fract_z
Cs1 0.0346 0.0000 0.2858
Cs2 0.1860 0.5000 0.7823
Cu1 0.0000 0.5000 0.0000
Cu2 0.1976 0.5000 0.3190
F1 0.0645 0.5000 0.3333
F2 0.1094 0.2881 0.0638
F3 0.1785 0.0000 0.7173
F4 0.2500 0.2500 0.5000
```

Peak list (12 most intense, 2θ from 5° to 70°, by angle)
- hkl 1 1 1, 2θ = 21.9°, I = 24
- hkl 0 0 2, 2θ = 24.7°, I = 32
- hkl 3 1 0, 2θ = 25.4°, I = 59
- hkl 3 1 -2, 2θ = 28.0°, I = 100
- hkl 0 2 0, 2θ = 28.3°, I = 53
- hkl 1 1 2, 2θ = 32.0°, I = 22
- hkl 0 2 2, 2θ = 37.9°, I = 40
- hkl 4 2 -1, 2θ = 38.2°, I = 31
- hkl 6 0 -2, 2θ = 38.4°, I = 19
- hkl 3 3 0, 2θ = 48.4°, I = 17
- hkl 3 3 -2, 2θ = 50.0°, I = 21
- hkl 6 2 -4, 2θ = 57.9°, I = 18


# Cs6CuF6
Calculated PXRD pattern, λ = 1.5418 Å (Cu Kα). Input: a GGA-PBE-relaxed structure.
Neutral-atom scattering factors, no anomalous dispersion.

Cell and atoms:
```
data_Cs6CuF6
_cell_length_a 7.7957
_cell_length_b 7.7957
_cell_length_c 8.0523
_cell_angle_alpha 90.00
_cell_angle_beta 90.00
_cell_angle_gamma 120.00
_space_group_name_H-M_alt 'P 6/m m m'
_space_group_IT_number 191
_space_group_name_Hall '-P 6 2'
loop_
_atom_site_label
_atom_site_fract_x
_atom_site_fract_y
_atom_site_fract_z
Cs1 0.0000 0.5000 0.2481
Cu1 0.0000 0.0000 0.0000
F1 0.0000 0.0000 0.2324
F2 0.3333 0.6667 0.0000
F3 0.3333 0.6667 0.5000
```

Peak list (12 most intense, 2θ from 5° to 70°, by angle)
- hkl 1 0 0, 2θ = 13.1°, I = 26
- hkl 0 0 2, 2θ = 22.1°, I = 32
- hkl 1 0 2, 2θ = 25.8°, I = 18
- hkl 2 0 0, 2θ = 26.4°, I = 100
- hkl 1 1 2, 2θ = 32.0°, I = 23
- hkl 2 0 2, 2θ = 34.7°, I = 84
- hkl 2 2 0, 2θ = 46.6°, I = 27
- hkl 2 2 2, 2θ = 52.1°, I = 19
- hkl 2 0 4, 2θ = 53.0°, I = 28
- hkl 4 0 0, 2θ = 54.4°, I = 13
- hkl 4 0 2, 2θ = 59.4°, I = 17
- hkl 2 2 4, 2θ = 66.8°, I = 17


# CsGaCuF6
Calculated PXRD pattern, λ = 1.5418 Å (Cu Kα). Input: a GGA-PBE-relaxed structure.
Neutral-atom scattering factors, no anomalous dispersion.

Cell and atoms:
```
data_CsGaCuF6
_cell_length_a 5.3236
_cell_length_b 5.3267
_cell_length_c 6.5083
_cell_angle_alpha 90.68
_cell_angle_beta 90.76
_cell_angle_gamma 117.62
_space_group_name_H-M_alt 'P 1'
_space_group_IT_number 1
loop_
_space_group_symop_operation_xyz
'x,y,z'
loop_
_atom_site_label
_atom_site_fract_x
_atom_site_fract_y
_atom_site_fract_z
Cs1 0.0000 0.0000 0.0000
Ga1 0.6551 0.3440 0.4997
Cu1 0.3198 0.6799 0.4998
F1 0.3650 0.0221 0.6482
F2 0.3771 0.4057 0.3320
F3 0.5941 0.6216 0.6678
F4 0.6271 0.0664 0.3083
F5 0.9332 0.3704 0.6903
F6 0.9767 0.6345 0.3515
```

Peak list (12 most intense, 2θ from 5° to 70°, by angle)
- hkl 0 0 1, 2θ = 13.6°, I = 21
- hkl 1 0 -1, 2θ = 23.1°, I = 100
- hkl 1 0 1, 2θ = 23.5°, I = 92
- hkl -1 1 1, 2θ = 23.8°, I = 91
- hkl 0 0 2, 2θ = 27.4°, I = 31
- hkl 1 1 0, 2θ = 32.5°, I = 26
- hkl 2 -1 0, 2θ = 33.7°, I = 38
- hkl 0 2 -1, 2θ = 40.4°, I = 19
- hkl 1 1 -2, 2θ = 42.5°, I = 29
- hkl 1 -2 2, 2θ = 43.7°, I = 22
- hkl -1 2 2, 2θ = 44.2°, I = 52
- hkl 3 0 0, 2θ = 58.7°, I = 23


# Cs2HoCuF6
Calculated PXRD pattern, λ = 1.5418 Å (Cu Kα). Input: a GGA-PBE-relaxed structure.
Neutral-atom scattering factors, no anomalous dispersion.

Cell and atoms:
```
data_Cs2HoCuF6
_cell_length_a 8.2101
_cell_length_b 9.8709
_cell_length_c 9.9224
_cell_angle_alpha 90.00
_cell_angle_beta 90.00
_cell_angle_gamma 90.00
_space_group_name_H-M_alt 'F m m m'
_space_group_IT_number 69
_space_group_name_Hall '-F 2 2'
loop_
_atom_site_label
_atom_site_fract_x
_atom_site_fract_y
_atom_site_fract_z
Cs1 0.2500 0.2500 0.2500
Ho1 0.0000 0.0000 0.0000
Cu1 0.0000 0.0000 0.5000
F1 0.0000 0.0000 0.2175
F2 0.0000 0.2186 0.0000
F3 0.2309 0.0000 0.5000
```

Peak list (12 most intense, 2θ from 5° to 70°, by angle)
- hkl 1 1 1, 2θ = 16.6°, I = 19
- hkl 0 2 2, 2θ = 25.5°, I = 66
- hkl 2 2 0, 2θ = 28.2°, I = 100
- hkl 0 0 4, 2θ = 36.2°, I = 22
- hkl 0 4 0, 2θ = 36.4°, I = 22
- hkl 4 0 0, 2θ = 44.1°, I = 13
- hkl 2 2 4, 2θ = 46.6°, I = 24
- hkl 2 4 2, 2θ = 46.7°, I = 24
- hkl 4 2 2, 2θ = 51.6°, I = 19
- hkl 0 4 4, 2θ = 52.3°, I = 14
- hkl 4 0 4, 2θ = 58.4°, I = 12
- hkl 4 4 0, 2θ = 58.5°, I = 10